Sm4Y2Th: simulated PXRD pattern (Cu Kα (λ = 1.5418 Å)), based on a GGA-PBE-relaxed structure.
Kinematic intensities with the Lorentz-polarization factor, no thermal factor.

Largest 6 diffraction maxima, by intensity, 2θ from 5° to 70°:
2.796 Å, I 100
2.737 Å, I 92
2.924 Å, I 55
1.813 Å, I 41
1.542 Å, I 32
3.136 Å, I 31

Crystal structure
Unit cell a=6.279 b=3.626 c=20.583 alpha=90.00 beta=95.98 gamma=90.00
Space group Cm (No. 8)
One atom of each set of equivalent atoms:
Sm (0.000, 0.000, 0.000) x2
Sm (0.018, 0.500, 0.568) x2
Sm (0.090, 0.000, 0.283) x2
Sm (0.115, 0.500, 0.854) x2
Y (0.211, 0.500, 0.141) x2
Y (0.301, 0.500, 0.425) x2
Th (0.400, 0.500, 0.711) x2